[1]
# ReSi3
Theoretical powder X-ray diffraction pattern, copper Kα. Input: a structure optimized by DFT (PBE).
Peak positions follow from Bragg's law for the DFT cell and can differ from measured ones.

Structure:
abc: 7.168 7.272 4.720
angles: 90.00 90.00 90.00
Atoms (fractional coordinates):
Re: 0.144 0.250 0.042
Re: 0.356 0.750 0.542
Re: 0.644 0.250 0.458
Re: 0.856 0.750 0.958
Si: 0.012 0.250 0.551
Si: 0.134 0.558 0.820
Si: 0.134 0.942 0.820
Si: 0.366 0.058 0.320
Si: 0.366 0.442 0.320
Si: 0.488 0.750 0.051
Si: 0.512 0.250 0.949
Si: 0.634 0.558 0.680
Si: 0.634 0.942 0.680
Si: 0.866 0.058 0.180
Si: 0.866 0.442 0.180
Si: 0.988 0.750 0.449

Largest 10 diffraction maxima, by angle, 5 to 70 degrees two-theta:
2θ 22.53, d 3.946, I 52; 2θ 24.48, d 3.636, I 47; 2θ 25.71, d 3.466, I 100; 2θ 27.75, d 3.215, I 64; 2θ 42.40, d 2.132, I 34; 2θ 43.85, d 2.065, I 34; 2θ 45.16, d 2.008, I 35; 2θ 45.84, d 1.979, I 27; 2θ 47.81, d 1.902, I 32; 2θ 49.57, d 1.839, I 30

***

[2]
# Re3Si23
Theoretical powder X-ray diffraction pattern, copper Kα. Input: a structure optimized by DFT (PBE).
Peak positions follow from Bragg's law for the DFT cell and can differ from measured ones.

Structure:
abc: 10.124 10.124 10.124
angles: 90.00 90.00 90.00
Atoms (fractional coordinates):
Re: 0.000 0.250 0.500
Re: 0.000 0.750 0.500
Re: 0.250 0.500 0.000
Re: 0.500 0.000 0.250
Re: 0.500 0.000 0.750
Re: 0.750 0.500 0.000
Si: 0.000 0.311 0.116
Si: 0.000 0.311 0.884
Si: 0.000 0.500 0.250
Si: 0.000 0.500 0.750
Si: 0.000 0.689 0.116
Si: 0.000 0.689 0.884
Si: 0.116 0.000 0.311
Si: 0.116 0.000 0.689
Si: 0.184 0.184 0.184
Si: 0.184 0.184 0.816
Si: 0.184 0.816 0.184
Si: 0.184 0.816 0.816
Si: 0.189 0.500 0.384
Si: 0.189 0.500 0.616
Si: 0.250 0.000 0.500
Si: 0.311 0.116 0.000
Si: 0.311 0.884 0.000
Si: 0.316 0.316 0.316
Si: 0.316 0.316 0.684
Si: 0.316 0.684 0.316
Si: 0.316 0.684 0.684
Si: 0.384 0.189 0.500
Si: 0.384 0.811 0.500
Si: 0.500 0.250 0.000
Si: 0.500 0.384 0.189
Si: 0.500 0.384 0.811
Si: 0.500 0.616 0.189
Si: 0.500 0.616 0.811
Si: 0.500 0.750 0.000
Si: 0.616 0.189 0.500
Si: 0.616 0.811 0.500
Si: 0.684 0.316 0.316
Si: 0.684 0.316 0.684
Si: 0.684 0.684 0.316
Si: 0.684 0.684 0.684
Si: 0.689 0.116 0.000
Si: 0.689 0.884 0.000
Si: 0.750 0.000 0.500
Si: 0.811 0.500 0.384
Si: 0.811 0.500 0.616
Si: 0.816 0.184 0.184
Si: 0.816 0.184 0.816
Si: 0.816 0.816 0.184
Si: 0.816 0.816 0.816
Si: 0.884 0.000 0.311
Si: 0.884 0.000 0.689

Largest 10 diffraction maxima, by angle, 5 to 70 degrees two-theta:
2θ 12.36, d 7.159, I 55; 2θ 19.61, d 4.528, I 100; 2θ 30.59, d 2.923, I 94; 2θ 31.87, d 2.808, I 99; 2θ 33.11, d 2.706, I 86; 2θ 35.47, d 2.531, I 34; 2θ 40.85, d 2.209, I 33; 2θ 48.42, d 1.880, I 40; 2θ 52.72, d 1.736, I 44; 2θ 55.99, d 1.642, I 34

***

[3]
# Re4Si23
Theoretical powder X-ray diffraction pattern, copper Kα. Input: a structure optimized by DFT (PBE).
Peak positions follow from Bragg's law for the DFT cell and can differ from measured ones.

Structure:
abc: 10.074 10.074 10.074
angles: 90.00 90.00 90.00
Atoms (fractional coordinates):
Re: 0.000 0.000 0.000
Re: 0.000 0.250 0.500
Re: 0.000 0.750 0.500
Re: 0.250 0.500 0.000
Re: 0.500 0.000 0.250
Re: 0.500 0.000 0.750
Re: 0.500 0.500 0.500
Re: 0.750 0.500 0.000
Si: 0.000 0.311 0.116
Si: 0.000 0.311 0.884
Si: 0.000 0.500 0.250
Si: 0.000 0.500 0.750
Si: 0.000 0.689 0.116
Si: 0.000 0.689 0.884
Si: 0.116 0.000 0.311
Si: 0.116 0.000 0.689
Si: 0.182 0.182 0.182
Si: 0.182 0.182 0.818
Si: 0.182 0.818 0.182
Si: 0.182 0.818 0.818
Si: 0.189 0.500 0.384
Si: 0.189 0.500 0.616
Si: 0.250 0.000 0.500
Si: 0.311 0.116 0.000
Si: 0.311 0.884 0.000
Si: 0.318 0.318 0.318
Si: 0.318 0.318 0.682
Si: 0.318 0.682 0.318
Si: 0.318 0.682 0.682
Si: 0.384 0.189 0.500
Si: 0.384 0.811 0.500
Si: 0.500 0.250 0.000
Si: 0.500 0.384 0.189
Si: 0.500 0.384 0.811
Si: 0.500 0.616 0.189
Si: 0.500 0.616 0.811
Si: 0.500 0.750 0.000
Si: 0.616 0.189 0.500
Si: 0.616 0.811 0.500
Si: 0.682 0.318 0.318
Si: 0.682 0.318 0.682
Si: 0.682 0.682 0.318
Si: 0.682 0.682 0.682
Si: 0.689 0.116 0.000
Si: 0.689 0.884 0.000
Si: 0.750 0.000 0.500
Si: 0.811 0.500 0.384
Si: 0.811 0.500 0.616
Si: 0.818 0.182 0.182
Si: 0.818 0.182 0.818
Si: 0.818 0.818 0.182
Si: 0.818 0.818 0.818
Si: 0.884 0.000 0.311
Si: 0.884 0.000 0.689

Largest 10 diffraction maxima, by angle, 5 to 70 degrees two-theta:
2θ 17.61, d 5.037, I 19; 2θ 19.70, d 4.505, I 47; 2θ 21.61, d 4.113, I 40; 2θ 30.74, d 2.908, I 24; 2θ 32.03, d 2.794, I 46; 2θ 33.28, d 2.692, I 100; 2θ 35.65, d 2.519, I 26; 2θ 48.67, d 1.871, I 19; 2θ 54.66, d 1.679, I 17; 2θ 56.29, d 1.634, I 37

***

[4]
# ReSi2
Theoretical powder X-ray diffraction pattern, copper Kα. Input: a structure optimized by DFT (PBE).
Peak positions follow from Bragg's law for the DFT cell and can differ from measured ones.

Structure:
abc: 4.479 4.479 4.520
angles: 90.00 90.00 62.29
Atoms (fractional coordinates):
Re: 0.212 0.788 0.750
Re: 0.788 0.212 0.250
Si: 0.110 0.562 0.250
Si: 0.438 0.890 0.250
Si: 0.562 0.110 0.750
Si: 0.890 0.438 0.750

Largest 10 diffraction maxima, by angle, 5 to 70 degrees two-theta:
2θ 23.20, d 3.834, I 51; 2θ 29.98, d 2.981, I 100; 2θ 38.88, d 2.317, I 27; 2θ 39.89, d 2.260, I 31; 2θ 45.21, d 2.005, I 81; 2θ 45.76, d 1.983, I 14; 2θ 46.65, d 1.947, I 17; 2θ 56.92, d 1.618, I 18; 2θ 62.30, d 1.490, I 11; 2θ 67.61, d 1.386, I 11